Starting from a cell relaxed with PBE, the XRD peak list of Be8GaN6 was calculated for λ = 1.5418 Å (Cu Kα).
Peak positions follow from Bragg's law for the DFT cell and can differ from measured ones.

Largest 12 diffraction maxima, in order of rising 2θ, 2θ from 10° to 90°:
18.1°, intensity 37
19.9°, intensity 88
27.0°, intensity 100
34.8°, intensity 51
36.0°, intensity 25
36.7°, intensity 26
40.4°, intensity 29
42.1°, intensity 50
44.6°, intensity 41
51.4°, intensity 31
57.8°, intensity 29
62.4°, intensity 31

Cell and atoms:
Cell: 5.1573 5.1573 9.8026 Å, 90.00 90.00 120.00°
Positions (direct):
Be  0.0000  0.3078  0.0000
Be  0.0000  0.4119  0.3399
Be  0.0000  0.5881  0.8399
Be  0.0000  0.6922  0.5000
Be  0.3078  0.0000  0.0000
Be  0.3078  0.3078  0.5000
Be  0.3333  0.6667  0.1407
Be  0.3333  0.6667  0.6407
Be  0.4119  0.0000  0.3399
Be  0.4119  0.4119  0.8399
Be  0.5881  0.0000  0.8399
Be  0.5881  0.5881  0.3399
Be  0.6667  0.3333  0.1407
Be  0.6667  0.3333  0.6407
Be  0.6922  0.0000  0.5000
Be  0.6922  0.6922  0.0000
Ga  0.0000  0.0000  0.2202
Ga  0.0000  0.0000  0.7202
N  0.0000  0.0000  0.4341
N  0.0000  0.0000  0.9341
N  0.0000  0.3613  0.1708
N  0.0000  0.6387  0.6708
N  0.3333  0.6667  0.4291
N  0.3333  0.6667  0.9291
N  0.3613  0.0000  0.1708
N  0.3613  0.3613  0.6708
N  0.6387  0.0000  0.6708
N  0.6387  0.6387  0.1708
N  0.6667  0.3333  0.4291
N  0.6667  0.3333  0.9291